# 1
Theoretical powder diffraction line list
Compound: BaSr7Ti8O24
Radiation: CuKα
Structure: a structure optimized by DFT (GGA-PBE)
Kinematic intensities with the Lorentz-polarization factor, no thermal factor.

Cell: 7.9107 7.9107 7.9107 Å, 90.00 90.00 90.00°
Fractional positions:
Ba  0.0000  0.0000  0.0000
Sr  0.0000  0.0000  0.5000
Sr  0.0000  0.5000  0.0000
Sr  0.0000  0.5000  0.5000
Sr  0.5000  0.0000  0.0000
Sr  0.5000  0.0000  0.5000
Sr  0.5000  0.5000  0.0000
Sr  0.5000  0.5000  0.5000
Ti  0.2513  0.2513  0.2513
Ti  0.2513  0.2513  0.7487
Ti  0.2513  0.7487  0.2513
Ti  0.2513  0.7487  0.7487
Ti  0.7487  0.2513  0.2513
Ti  0.7487  0.2513  0.7487
Ti  0.7487  0.7487  0.2513
Ti  0.7487  0.7487  0.7487
O  0.0000  0.2533  0.2533
O  0.0000  0.2533  0.7467
O  0.0000  0.7467  0.2533
O  0.0000  0.7467  0.7467
O  0.2513  0.2513  0.5000
O  0.2513  0.5000  0.2513
O  0.2513  0.5000  0.7487
O  0.2513  0.7487  0.5000
O  0.2533  0.0000  0.2533
O  0.2533  0.0000  0.7467
O  0.2533  0.2533  0.0000
O  0.2533  0.7467  0.0000
O  0.5000  0.2513  0.2513
O  0.5000  0.2513  0.7487
O  0.5000  0.7487  0.2513
O  0.5000  0.7487  0.7487
O  0.7467  0.0000  0.2533
O  0.7467  0.0000  0.7467
O  0.7467  0.2533  0.0000
O  0.7467  0.7467  0.0000
O  0.7487  0.2513  0.5000
O  0.7487  0.5000  0.2513
O  0.7487  0.5000  0.7487
O  0.7487  0.7487  0.5000

Largest 6 diffraction maxima, sorted by position, 2θ from 10° to 90°:
32.0 deg, I 1000; 39.5 deg, I 218; 45.9 deg, I 401; 57.0 deg, I 378; 66.9 deg, I 230; 76.1 deg, I 163

# 2
Theoretical powder diffraction line list
Compound: Ba2SrTm6O12
Radiation: CuKα
Structure: a structure optimized by DFT (GGA-PBE)
Kinematic intensities with the Lorentz-polarization factor, no thermal factor.

Cell: 10.3113 10.3113 3.4308 Å, 90.00 90.00 120.00°
Fractional positions:
Ba  0.0000  0.0000  0.0000
Ba  0.3333  0.6667  0.0000
Sr  0.6667  0.3333  0.5000
Tm  0.3343  0.3213  0.5000
Tm  0.3385  0.0167  0.0000
Tm  0.6782  0.6615  0.0000
Tm  0.6787  0.0130  0.5000
Tm  0.9833  0.3218  0.0000
Tm  0.9870  0.6657  0.5000
O  0.0543  0.4901  0.5000
O  0.1359  0.7874  0.0000
O  0.2126  0.3485  0.0000
O  0.2273  0.0701  0.5000
O  0.4358  0.9457  0.5000
O  0.4627  0.2766  0.0000
O  0.5099  0.5642  0.5000
O  0.6515  0.8641  0.0000
O  0.7234  0.1860  0.0000
O  0.8140  0.5373  0.0000
O  0.8428  0.7727  0.5000
O  0.9299  0.1572  0.5000

Largest 6 diffraction maxima, sorted by position, 2θ from 10° to 90°:
30.0 deg, I 1000; 31.3 deg, I 757; 43.9 deg, I 369; 53.3 deg, I 213; 54.1 deg, I 374; 62.5 deg, I 383

# 3
Theoretical powder diffraction line list
Compound: BaSr2Tm6O12
Radiation: CuKα
Structure: a structure optimized by DFT (GGA-PBE)
Kinematic intensities with the Lorentz-polarization factor, no thermal factor.

Cell: 10.2517 10.2517 3.4038 Å, 90.00 90.00 120.00°
Fractional positions:
Ba  0.0000  0.0000  0.0000
Sr  0.3333  0.6667  0.0000
Sr  0.6667  0.3333  0.5000
Tm  0.9998  0.3483  0.0000
Tm  0.0012  0.6535  0.5000
Tm  0.3465  0.3477  0.5000
Tm  0.3484  0.0002  0.0000
Tm  0.6517  0.6516  0.0000
Tm  0.6523  0.9988  0.5000
O  0.1169  0.8039  0.0000
O  0.1208  0.5189  0.5000
O  0.1961  0.3130  0.0000
O  0.2844  0.1034  0.5000
O  0.3982  0.8792  0.5000
O  0.4811  0.6018  0.5000
O  0.5213  0.3954  0.0000
O  0.6046  0.1260  0.0000
O  0.6870  0.8831  0.0000
O  0.8190  0.7156  0.5000
O  0.8740  0.4787  0.0000
O  0.8966  0.1810  0.5000

Largest 6 diffraction maxima, sorted by position, 2θ from 10° to 90°:
30.2 deg, I 1000; 31.6 deg, I 795; 44.2 deg, I 387; 53.6 deg, I 212; 54.5 deg, I 389; 63.0 deg, I 254

# 4
Theoretical powder diffraction line list
Compound: BaSr4U3O14
Radiation: CuKα
Structure: a structure optimized by DFT (GGA-PBE)
Kinematic intensities with the Lorentz-polarization factor, no thermal factor.

Cell: 8.1177 8.1177 11.1064 Å, 90.00 90.00 89.97°
Fractional positions:
Ba  0.0000  0.0000  0.0000
Ba  0.5000  0.5000  0.5000
Sr  0.2290  0.2710  0.2500
Sr  0.2490  0.7510  0.7254
Sr  0.2510  0.7490  0.2254
Sr  0.2710  0.2290  0.7500
Sr  0.7290  0.7710  0.2500
Sr  0.7490  0.2510  0.7746
Sr  0.7510  0.2490  0.2746
Sr  0.7710  0.7290  0.7500
U  0.0000  0.0000  0.5000
U  0.0000  0.5000  0.0000
U  0.0000  0.5000  0.5000
U  0.5000  0.0000  0.0000
U  0.5000  0.0000  0.5000
U  0.5000  0.5000  0.0000
O  0.0065  0.2465  0.4273
O  0.0323  0.6849  0.8756
O  0.0326  0.3078  0.8827
O  0.0644  0.9356  0.3361
O  0.1849  0.5323  0.3756
O  0.1922  0.4674  0.6173
O  0.2465  0.0065  0.5727
O  0.2535  0.4935  0.0727
O  0.3078  0.0326  0.1173
O  0.3151  0.9677  0.8756
O  0.4356  0.5644  0.8361
O  0.4674  0.1922  0.3827
O  0.4677  0.8151  0.3756
O  0.4935  0.2535  0.9273
O  0.5065  0.7465  0.0727
O  0.5323  0.1849  0.6244
O  0.5326  0.8078  0.6173
O  0.5644  0.4356  0.1639
O  0.6849  0.0323  0.1244
O  0.6922  0.9674  0.8827
O  0.7465  0.5065  0.9273
O  0.7535  0.9935  0.4273
O  0.8078  0.5326  0.3827
O  0.8151  0.4677  0.6244
O  0.9356  0.0644  0.6639
O  0.9674  0.6922  0.1173
O  0.9677  0.3151  0.1244
O  0.9935  0.7535  0.5727

Largest 6 diffraction maxima, sorted by position, 2θ from 10° to 90°:
16.0 deg, I 163; 21.9 deg, I 161; 27.2 deg, I 1000; 31.2 deg, I 279; 45.5 deg, I 284; 53.1 deg, I 314